Structure and theoretical powder XRD pattern of RbMoAsO6 (the GGA+U geometry in Alexandria; Cu Kα, 1.54184 Å).
Peak positions follow from Bragg's law for the DFT cell and can differ from measured ones.

Structure:
```
RbMoAsO6
1.0
0.0000 6.5640 8.2663
5.6797 0.0000 8.2663
5.6797 6.5640 0.0000
Rb Mo As O
4 4 4 24
direct
0.0759 0.6741 0.6741
0.3259 0.9241 0.9241
0.6741 0.0759 0.0759
0.9241 0.3259 0.3259
0.1549 0.5951 0.1549
0.4049 0.8451 0.4049
0.5951 0.1549 0.5951
0.8451 0.4049 0.8451
0.2452 0.2452 0.5048
0.4952 0.4952 0.7548
0.5048 0.5048 0.2452
0.7548 0.7548 0.4952
0.0205 0.3377 0.6038
0.0493 0.5557 0.0913
0.0913 0.8038 0.0493
0.1962 0.9087 0.4443
0.2802 0.3179 0.2885
0.2885 0.6133 0.2802
0.3179 0.2802 0.6133
0.3377 0.0205 0.5380
0.3867 0.7115 0.6821
0.3962 0.4620 0.9795
0.4443 0.9507 0.1962
0.4620 0.3962 0.6623
0.5380 0.6038 0.3377
0.5557 0.0493 0.8038
0.6038 0.5380 0.0205
0.6133 0.2885 0.3179
0.6623 0.9795 0.4620
0.6821 0.7198 0.3867
0.7115 0.3867 0.7198
0.7198 0.6821 0.7115
0.8038 0.0913 0.5557
0.9087 0.1962 0.9507
0.9507 0.4443 0.9087
0.9795 0.6623 0.3962
```

Principal peaks in the range 10 to 90 degrees two-theta, low angle first:
11.61 deg, intensity 40; 19.13 deg, intensity 12; 20.68 deg, intensity 18; 25.06 deg, intensity 31; 27.18 deg, intensity 59; 30.00 deg, intensity 100; 31.50 deg, intensity 13; 34.91 deg, intensity 13; 42.08 deg, intensity 12; 48.05 deg, intensity 10; 49.81 deg, intensity 15; 52.31 deg, intensity 11